The following is a theoretical powder X-ray diffraction pattern of RbHg3IrS4. It was derived from a crystal structure in OQMD, relaxed with GGA-PBE, using a wavelength of 1.5418 Å.
Kinematic intensities with the Lorentz-polarization factor, no thermal factor.

Structural model:
Unit cell a=7.2440 b=7.2440 c=7.2440 alpha=90.00 beta=90.00 gamma=90.00
Space group P-43m (No. 215)
Asymmetric unit:
Rb  0.0000  0.0000  0.0000 [1 per cell]
Hg  0.0000  0.5000  0.5000 [3 per cell]
Ir  0.5000  0.5000  0.5000 [1 per cell]
S  0.3248  0.3248  0.3248 [4 per cell]

Most intense lines, 2θ from 10° to 90°, in order of rising 2θ:
| 2θ (°) | I (rel.) | hkl |
| --- | --- | --- |
| 12.2 | 95 | 1 0 0 |
| 21.2 | 67 | 1 1 1 |
| 24.6 | 91 | 2 0 0 |
| 27.5 | 30 | 2 1 0 |
| 35.0 | 100 | 2 2 0 |
| 37.2 | 24 | 2 2 1 |
| 41.3 | 41 | 3 1 1 |
| 43.3 | 32 | 2 2 2 |
| 45.1 | 17 | 3 2 0 |
| 56.8 | 48 | 4 2 0 |
| 62.8 | 33 | 4 2 2 |
| 79.4 | 23 | 6 0 0 |


The following is a theoretical powder X-ray diffraction pattern of Hg2IrW. It was derived from a crystal structure in OQMD, relaxed with GGA-PBE, using a wavelength of 1.5418 Å.
Kinematic intensities with the Lorentz-polarization factor, no thermal factor.

Structural model:
Unit cell a=6.5831 b=6.5831 c=6.5831 alpha=90.00 beta=90.00 gamma=90.00
Space group F-43m (No. 216)
Asymmetric unit:
Hg  0.0000  0.0000  0.0000 [4 per cell]
Hg  0.2500  0.2500  0.2500 [4 per cell]
Ir  0.2500  0.2500  0.7500 [4 per cell]
W  0.0000  0.0000  0.5000 [4 per cell]

Most intense lines, 2θ from 10° to 90°, in order of rising 2θ:
| 2θ (°) | I (rel.) | hkl |
| --- | --- | --- |
| 38.7 | 100 | 2 2 0 |
| 55.9 | 17 | 4 0 0 |
| 70.0 | 36 | 4 2 2 |
| 83.0 | 12 | 4 4 0 |


The following is a theoretical powder X-ray diffraction pattern of Zn2HgIr. It was derived from a crystal structure in OQMD, relaxed with GGA-PBE, using a wavelength of 1.5418 Å.
Kinematic intensities with the Lorentz-polarization factor, no thermal factor.

Structural model:
Unit cell a=6.3658 b=6.3658 c=6.3658 alpha=90.00 beta=90.00 gamma=90.00
Space group F-43m (No. 216)
Asymmetric unit:
Zn  0.0000  0.0000  0.0000 [4 per cell]
Zn  0.2500  0.2500  0.2500 [4 per cell]
Hg  0.2500  0.2500  0.7500 [4 per cell]
Ir  0.0000  0.0000  0.5000 [4 per cell]

Most intense lines, 2θ from 10° to 90°, in order of rising 2θ:
| 2θ (°) | I (rel.) | hkl |
| --- | --- | --- |
| 24.2 | 26 | 1 1 1 |
| 40.1 | 100 | 2 2 0 |
| 47.4 | 14 | 3 1 1 |
| 57.9 | 17 | 4 0 0 |
| 63.7 | 6 | 3 3 1 |
| 72.8 | 34 | 4 2 2 |
| 78.0 | 5 | 5 1 1 |
| 86.5 | 11 | 4 4 0 |


The following is a theoretical powder X-ray diffraction pattern of K5Hg7. It was derived from a crystal structure in OQMD, relaxed with GGA-PBE, using a wavelength of 1.5418 Å.
Kinematic intensities with the Lorentz-polarization factor, no thermal factor.

Structural model:
Unit cell a=10.3385 b=19.8152 c=8.4907 alpha=90.00 beta=90.00 gamma=90.00
Space group Pbcm (No. 57)
Asymmetric unit:
K  0.0057  0.1103  0.2500 [4 per cell]
K  0.1059  0.5879  0.7500 [4 per cell]
K  0.1861  0.2090  0.7500 [4 per cell]
K  0.4247  0.7285  0.7500 [4 per cell]
K  0.4815  0.5173  0.7500 [4 per cell]
Hg  0.1239  0.7500  0.0000 [4 per cell]
Hg  0.1949  0.0291  0.5653 [8 per cell]
Hg  0.3195  0.6185  0.0680 [8 per cell]
Hg  0.3704  0.1430  0.0674 [8 per cell]

Most intense lines, 2θ from 10° to 90°, in order of rising 2θ:
| 2θ (°) | I (rel.) | hkl |
| --- | --- | --- |
| 17.2 | 40 | 2 0 0 |
| 19.9 | 67 | 1 4 0 |
| 20.9 | 64 | 0 0 2 |
| 29.0 | 99 | 1 4 2 |
| 29.4 | 32 | 3 2 1 |
| 30.4 | 30 | 2 3 2 |
| 31.6 | 100 | 3 4 0 |
| 32.8 | 51 | 1 7 0 |
| 32.9 | 30 | 0 2 3 |
| 38.2 | 41 | 3 4 2 |
| 39.2 | 32 | 1 7 2 |
| 42.3 | 34 | 3 2 3 |


The following is a theoretical powder X-ray diffraction pattern of KHg11. It was derived from a crystal structure in OQMD, relaxed with GGA-PBE, using a wavelength of 1.5418 Å.
Kinematic intensities with the Lorentz-polarization factor, no thermal factor.

Structural model:
Unit cell a=12.3598 b=12.3598 c=12.3598 alpha=90.00 beta=90.00 gamma=90.00
Space group F-43m (No. 216)
Asymmetric unit:
K  0.0000  0.0000  0.0000 [4 per cell]
Hg  0.0007  0.2500  0.2500 [24 per cell]
Hg  0.0894  0.0894  0.4106 [16 per cell]
Hg  0.2500  0.2500  0.7500 [4 per cell]

Most intense lines, 2θ from 10° to 90°, in order of rising 2θ:
| 2θ (°) | I (rel.) | hkl |
| --- | --- | --- |
| 12.4 | 61 | 1 1 1 |
| 23.9 | 41 | 3 1 1 |
| 25.0 | 100 | 2 2 2 |
| 28.9 | 30 | 4 0 0 |
| 32.4 | 60 | 4 2 0 |
| 35.6 | 25 | 4 2 2 |
| 37.8 | 45 | 3 3 3 |
| 41.3 | 80 | 4 4 0 |
| 44.0 | 36 | 6 0 0 |
| 48.9 | 26 | 6 2 2 |
| 65.9 | 25 | 6 6 2 |
| 67.8 | 29 | 8 4 0 |


The following is a theoretical powder X-ray diffraction pattern of K6Hg5. It was derived from a crystal structure in OQMD, relaxed with GGA-PBE, using a wavelength of 1.5418 Å.
Kinematic intensities with the Lorentz-polarization factor, no thermal factor.

Structural model:
Unit cell a=14.1135 b=14.1135 c=5.6279 alpha=90.00 beta=90.00 gamma=120.00
Space group P6_3/m (No. 176)
Asymmetric unit:
K  0.0076  0.7646  0.2500 [6 per cell]
K  0.1372  0.5178  0.2500 [6 per cell]
Hg  0.0000  0.0000  0.0000 [2 per cell]
Hg  0.1472  0.7155  0.7500 [6 per cell]
Hg  0.3333  0.6667  0.7500 [2 per cell]

Most intense lines, 2θ from 10° to 90°, in order of rising 2θ:
| 2θ (°) | I (rel.) | hkl |
| --- | --- | --- |
| 12.5 | 59 | 1 1 0 |
| 17.3 | 99 | 1 0 1 |
| 19.2 | 100 | 2 1 0 |
| 24.9 | 46 | 2 1 1 |
| 27.0 | 32 | 3 0 1 |
| 30.8 | 38 | 1 3 1 |
| 32.7 | 25 | 1 0 2 |
| 33.4 | 30 | 4 0 1 |
| 33.6 | 97 | 1 4 0 |
| 35.8 | 29 | 2 3 1 |
| 45.7 | 24 | 2 3 2 |
| 46.9 | 29 | 1 4 2 |


The following is a theoretical powder X-ray diffraction pattern of KHg6. It was derived from a crystal structure in OQMD, relaxed with GGA-PBE, using a wavelength of 1.5418 Å.
Kinematic intensities with the Lorentz-polarization factor, no thermal factor.

Structural model:
Unit cell a=14.2602 b=5.5423 c=11.0227 alpha=90.00 beta=90.00 gamma=90.00
Space group Pnma (No. 62)
Asymmetric unit:
K  0.1813  0.2500  0.1305 [4 per cell]
Hg  0.0027  0.7500  0.1022 [4 per cell]
Hg  0.0461  0.7500  0.6362 [4 per cell]
Hg  0.0942  0.7500  0.3535 [4 per cell]
Hg  0.1408  0.7500  0.8934 [4 per cell]
Hg  0.1536  0.2500  0.4926 [4 per cell]
Hg  0.1933  0.2500  0.7663 [4 per cell]

Most intense lines, 2θ from 10° to 90°, in order of rising 2θ:
| 2θ (°) | I (rel.) | hkl |
| --- | --- | --- |
| 17.2 | 26 | 1 0 2 |
| 29.6 | 86 | 3 1 2 |
| 29.8 | 100 | 4 1 0 |
| 31.8 | 29 | 2 1 3 |
| 32.3 | 98 | 0 2 0 |
| 34.9 | 47 | 2 0 4 |
| 36.4 | 41 | 5 1 1 |
| 38.6 | 83 | 2 1 4 |
| 39.1 | 34 | 5 1 2 |
| 48.3 | 26 | 2 2 4 |
| 56.2 | 20 | 3 1 6 |
| 61.9 | 30 | 2 3 4 |


The following is a theoretical powder X-ray diffraction pattern of K4Hg13. It was derived from a crystal structure in OQMD, relaxed with GGA-PBE, using a wavelength of 1.5418 Å.
Kinematic intensities with the Lorentz-polarization factor, no thermal factor.

Structural model:
Unit cell a=22.4705 b=5.6684 c=9.7197 alpha=90.00 beta=114.80 gamma=90.00
Space group C2/m (No. 12)
Asymmetric unit:
K  0.0400  0.0000  0.3307 [4 per cell]
K  0.1947  0.5000  0.2030 [4 per cell]
Hg  0.0000  0.5000  0.5000 [2 per cell]
Hg  0.0405  0.5000  0.8829 [4 per cell]
Hg  0.0990  0.0000  0.0374 [4 per cell]
Hg  0.1346  0.0000  0.7456 [4 per cell]
Hg  0.1466  0.5000  0.5265 [4 per cell]
Hg  0.2025  0.0000  0.4155 [4 per cell]
Hg  0.2273  0.5000  0.8853 [4 per cell]

Most intense lines, 2θ from 10° to 90°, in order of rising 2θ:
| 2θ (°) | I (rel.) | hkl |
| --- | --- | --- |
| 15.8 | 12 | 2 0 1 |
| 18.1 | 14 | 1 1 -1 |
| 20.1 | 13 | 0 0 2 |
| 20.4 | 13 | 3 1 0 |
| 25.5 | 18 | 6 0 -2 |
| 26.9 | 12 | 5 1 0 |
| 31.6 | 50 | 0 2 0 |
| 31.9 | 49 | 5 1 1 |
| 32.2 | 25 | 7 1 -1 |
| 32.9 | 100 | 1 1 -3 |
| 51.6 | 11 | 4 0 4 |
| 57.1 | 23 | 1 3 -3 |